This entry pairs a crystal structure of KTl3H8 with its simulated X-ray powder pattern. Radiation: copper Kα. Structure: the GGA-PBE geometry in Alexandria.
Intensities are scaled so that the largest is 100.

Main lines, by intensity (10° ≤ 2θ ≤ 80°):
d_spacing, Position (°2θ), I (rel.)
2.675, 33.50, 100.0
3.826, 23.25, 83.8
2.568, 34.95, 77.2
2.969, 30.10, 57.4
2.959, 30.20, 57.2
2.926, 30.56, 55.6
2.665, 33.63, 49.4
2.548, 35.23, 47.6
3.775, 23.57, 43.3
1.976, 45.93, 36.2
2.303, 39.12, 31.3
2.563, 35.02, 26.0

Structural model:
```
12
Lattice="5.3306 0.0000 0.0000 2.6525 4.6400 0.0000 2.5531 1.4556 8.9389" Properties=species:S:1:pos:R:3 pbc="T T T"
K 0.0000 0.0000 0.0000
Tl 2.6647 1.5480 2.0151
Tl 5.3242 3.0968 2.8895
Tl 7.9766 4.6429 4.0660
H 3.8082 3.8709 7.0595
H 3.9753 3.7489 7.7938
H 2.2851 1.3022 6.0250
H 2.9184 1.7105 6.0614
H 5.2335 1.5910 7.7922
H 6.4901 3.7581 7.7282
H 6.6486 3.8593 6.9907
H 5.2492 1.3734 7.0613
```

This entry pairs a crystal structure of KV2H with its simulated X-ray powder pattern. Radiation: copper Kα. Structure: the GGA-PBE geometry in Alexandria.
Intensities are scaled so that the largest is 100.

Main lines, by intensity (10° ≤ 2θ ≤ 80°):
d_spacing, Position (°2θ), I (rel.)
2.556, 35.10, 100.0
2.448, 36.72, 48.7
1.632, 56.39, 29.7
1.499, 61.91, 26.8
2.998, 29.80, 23.7
4.895, 18.12, 16.0
1.279, 74.15, 10.1
1.293, 73.20, 9.5
2.120, 42.65, 8.1
1.731, 52.90, 7.5
1.277, 74.26, 5.1
1.945, 46.70, 3.6

Structural model:
```
8
Lattice="-2.9994 2.9994 4.2345 2.9994 -2.9994 4.2345 2.9994 2.9994 -4.2345" Properties=species:S:1:pos:R:3 pbc="T T T"
K 2.9994 1.4997 1.0586
K 0.0000 1.4997 3.1759
V 0.0000 0.0000 0.0000
V 1.4997 1.4997 -2.1173
V 1.4997 -1.4997 2.1173
V 0.0000 2.9994 0.0000
H 2.9994 -1.4997 3.1759
H 0.0000 4.4991 1.0586
```

This entry pairs a crystal structure of K2YH6 with its simulated X-ray powder pattern. Radiation: copper Kα. Structure: the GGA-PBE geometry in Alexandria.
Intensities are scaled so that the largest is 100.

Main lines, by intensity (10° ≤ 2θ ≤ 80°):
d_spacing, Position (°2θ), I (rel.)
3.069, 29.10, 100.0
5.012, 17.70, 65.9
1.772, 51.58, 36.7
2.617, 34.26, 36.4
2.170, 41.62, 20.0
1.991, 45.55, 16.0
1.372, 68.35, 14.9
1.671, 54.97, 12.1
1.534, 60.32, 12.0
1.467, 63.39, 11.6
1.215, 78.73, 6.1
1.324, 71.24, 4.1

Structural model:
```
9
Lattice="0.0000 4.3402 4.3402 4.3402 0.0000 4.3402 4.3402 4.3402 0.0000" Properties=species:S:1:pos:R:3 pbc="T T T"
K 2.1701 2.1701 2.1701
K 6.5103 6.5103 6.5103
Y 0.0000 0.0000 0.0000
H 4.3402 4.3402 2.1367
H 4.3402 2.1367 4.3402
H 6.5436 4.3402 4.3402
H 2.1367 4.3402 4.3402
H 4.3402 6.5436 4.3402
H 4.3402 4.3402 6.5436
```

This entry pairs a crystal structure of K3ZnH5 with its simulated X-ray powder pattern. Radiation: copper Kα. Structure: the GGA-PBE geometry in Alexandria.
Intensities are scaled so that the largest is 100.

Main lines, by intensity (10° ≤ 2θ ≤ 80°):
d_spacing, Position (°2θ), I (rel.)
3.106, 28.75, 100.0
2.643, 33.91, 25.7
2.790, 32.08, 25.7
3.203, 27.86, 24.9
1.919, 47.38, 18.6
2.487, 36.12, 14.7
5.286, 16.77, 14.6
1.665, 55.15, 14.0
2.177, 41.48, 11.5
3.738, 23.80, 11.5
2.389, 37.66, 10.9
1.772, 51.57, 10.5

Structural model:
```
18
Lattice="-3.7381 3.7381 5.5805 3.7381 -3.7381 5.5805 3.7381 3.7381 -5.5805" Properties=species:S:1:pos:R:3 pbc="T T T"
K 5.0819 1.3438 0.0000
K 0.0000 0.0000 2.7903
K 1.3438 2.3943 0.0000
K 2.3943 1.3438 5.5805
K 0.0000 0.0000 8.3708
K -1.3438 2.3943 5.5805
Zn 3.7381 0.0000 2.7903
Zn 0.0000 3.7381 2.7903
H 0.0000 0.0000 0.0000
H 4.6805 -0.9425 1.8004
H 2.7956 -0.9425 3.7801
H 2.7956 0.9425 1.8004
H 4.6805 0.9425 3.7801
H 0.0000 0.0000 5.5805
H -0.9425 2.7956 1.8004
H 0.9425 2.7956 3.7801
H 0.9425 4.6805 1.8004
H -0.9425 4.6805 3.7801
```